# 1
Starting from the PBE geometry in Alexandria, the powder XRD pattern of HfPd9Pt4 was simulated for CuKα.
Neutral-atom scattering factors, no anomalous dispersion.

Crystal structure
Lattice parameters (Å, degrees): 7.8548 7.8548 8.7328 90.00 90.00 120.00
Space group P6_3/mmc (No. 194)
One atom of each set of equivalent atoms:
Hf 0.3333 0.6667 0.2500 (multiplicity 2)
Pd 0.0641 0.5320 0.7500 (multiplicity 6)
Pd 0.2087 0.4173 0.0267 (multiplicity 12)
Pt 0.0000 0.0000 0.0000 (multiplicity 2)
Pt 0.1134 0.2269 0.7500 (multiplicity 6)

The 8 most intense peaks (15° ≤ 2θ ≤ 90°), low angle first:
2θ/deg  Rel. int.
28.2  19.7
40.7  100.0
41.1  29.1
41.4  23.0
67.7  12.5
72.2  11.2
72.8  12.3
86.7  12.3

***

# 2
Starting from the PBE geometry in Alexandria, the powder XRD pattern of NbHPdBr was simulated for CuKα.
Neutral-atom scattering factors, no anomalous dispersion.

Crystal structure
Lattice parameters (Å, degrees): 3.3394 3.3394 19.9995 90.00 90.00 120.00
Space group R3m (No. 160, hexagonal axes)
One atom of each set of equivalent atoms:
Nb 0.0000 0.0000 0.0000 (multiplicity 3)
H 0.0000 0.0000 0.3549 (multiplicity 3)
Pd 0.0000 0.0000 0.5721 (multiplicity 3)
Br 0.0000 0.0000 0.1269 (multiplicity 3)

The 8 most intense peaks (15° ≤ 2θ ≤ 90°), low angle first:
2θ/deg  Rel. int.
32.2  100.0
35.9  14.8
38.4  38.8
40.6  22.4
44.6  54.8
55.0  32.8
65.2  12.6
70.6  26.1

***

# 3
Starting from the PBE geometry in Alexandria, the powder XRD pattern of CeNd2SmHo5 was simulated for CuKα.
Neutral-atom scattering factors, no anomalous dispersion.

Crystal structure
Lattice parameters (Å, degrees): 8.640 8.640 15.571 90.00 90.00 90.00
Space group I4/mcm (No. 140)
One atom of each set of equivalent atoms:
Ce 0.000 0.500 0.250 (multiplicity 4)
Nd 0.120 0.380 0.000 (multiplicity 8)
Sm 0.000 0.000 0.250 (multiplicity 4)
Ho 0.000 0.000 0.000 (multiplicity 4)
Ho 0.204 0.296 0.360 (multiplicity 16)

The 8 most intense peaks (15° ≤ 2θ ≤ 90°), low angle first:
2θ/deg  Rel. int.
28.8  60.8
29.2  50.2
30.9  100.0
32.8  17.8
38.0  16.4
46.7  27.4
52.9  19.3
56.0  17.5